Computed X-ray powder pattern
Compound: TbSi2Ni10
Radiation: Cu Kα X-rays
Structure: a structure optimized by DFT (GGA-PBE)
Neutral-atom scattering factors, no anomalous dispersion.

Most intense lines, 10 to 90 degrees two-theta, by angle:
hkl 1 1 2, 2θ 30.60, rel. 36.5
hkl 1 2 1, 2θ 31.06, rel. 36.5
hkl 0 0 4, 2θ 43.30, rel. 54.1
hkl 2 0 2, 2θ 43.91, rel. 100.0
hkl 2 2 0, 2θ 44.35, rel. 33.8
hkl 1 3 2, 2θ 44.46, rel. 50.9
hkl 0 4 0, 2θ 45.07, rel. 34.5
hkl 2 2 2, 2θ 49.69, rel. 44.2

Structure:
a b c (Å): 4.7412 8.0455 8.3580
angles (deg): 90.00 90.00 90.00
Space group Immm (No. 71)
One atom of each set of equivalent atoms:
Tb 0.0000 0.0000 0.0000 (multiplicity 2)
Si 0.0000 0.0000 0.3450 (multiplicity 4)
Ni 0.0000 0.2454 0.5000 (multiplicity 4)
Ni 0.0000 0.3481 0.0000 (multiplicity 4)
Ni 0.0000 0.5000 0.2730 (multiplicity 4)
Ni 0.2500 0.2500 0.2500 (multiplicity 8)

Computed X-ray powder pattern
Compound: NbCr3Ag2S8
Radiation: Cu Kα X-rays
Structure: a structure optimized by DFT (GGA-PBE)
Neutral-atom scattering factors, no anomalous dispersion.

Most intense lines, 10 to 90 degrees two-theta, by angle:
hkl 1 1 1, 2θ 20.69, rel. 93.9
hkl 1 3 -1, 2θ 28.15, rel. 47.6
hkl 0 2 2, 2θ 29.14, rel. 48.1
hkl 2 3 0, 2θ 36.11, rel. 72.3
hkl 1 3 2, 2θ 36.25, rel. 34.6
hkl 2 4 0, 2θ 40.47, rel. 100.0
hkl 1 4 2, 2θ 40.59, rel. 48.1
hkl 3 0 2, 2θ 52.94, rel. 34.0

Structure:
a b c (Å): 6.0129 13.3024 6.9055
angles (deg): 90.00 90.27 90.00
Space group P2_1/m (No. 11)
One atom of each set of equivalent atoms:
Nb 0.0000 0.0000 0.0000 (multiplicity 2)
Cr 0.0000 0.0000 0.5000 (multiplicity 2)
Cr 0.4981 0.0040 0.7508 (multiplicity 4)
Ag 0.1574 0.7500 0.2560 (multiplicity 2)
Ag 0.4758 0.2500 0.2586 (multiplicity 2)
S 0.1672 0.1061 0.7429 (multiplicity 4)
S 0.1743 0.1028 0.2568 (multiplicity 4)
S 0.3310 0.6004 0.4985 (multiplicity 4)
S 0.3403 0.6071 0.9985 (multiplicity 4)

Computed X-ray powder pattern
Compound: LaTeAs
Radiation: Cu Kα X-rays
Structure: a structure optimized by DFT (GGA-PBE)
Neutral-atom scattering factors, no anomalous dispersion.

Most intense lines, 10 to 90 degrees two-theta, by angle:
hkl 1 0 3, 2θ 28.06, rel. 50.8
hkl 1 1 2, 2θ 29.55, rel. 35.7
hkl 2 1 0, 2θ 31.08, rel. 71.3
hkl 2 1 1, 2θ 32.27, rel. 46.6
hkl 1 1 3, 2θ 35.39, rel. 100.0
hkl 3 0 2, 2θ 38.33, rel. 52.8
hkl 0 2 0, 2θ 43.01, rel. 31.6
hkl 3 2 2, 2θ 58.95, rel. 29.7

Structure:
a b c (Å): 7.8917 4.2063 10.4228
angles (deg): 90.00 90.00 90.00
Space group Pnma (No. 62)
One atom of each set of equivalent atoms:
La 0.2236 0.2500 0.1557 (multiplicity 4)
Te 0.0937 0.2500 0.8493 (multiplicity 4)
As 0.0901 0.2500 0.4613 (multiplicity 4)

Computed X-ray powder pattern
Compound: AgH9C7S2O4F4
Radiation: Cu Kα X-rays
Structure: a structure optimized by DFT (GGA-PBE)
Neutral-atom scattering factors, no anomalous dispersion.

Most intense lines, 10 to 90 degrees two-theta, by angle:
hkl 0 1 0, 2θ 10.46, rel. 100.0
hkl 0 1 1, 2θ 12.95, rel. 22.2
hkl 0 1 -1, 2θ 13.38, rel. 65.0
hkl 1 0 -1, 2θ 15.86, rel. 26.8
hkl 0 1 2, 2θ 18.84, rel. 47.1
hkl -1 1 1, 2θ 19.65, rel. 56.9
hkl 1 2 -2, 2θ 29.72, rel. 66.6
hkl -1 2 2, 2θ 30.88, rel. 22.0

Structure:
a b c (Å): 6.8961 8.5139 11.1492
angles (deg): 87.45 84.34 83.79
Space group P-1 (No. 2)
One atom of each set of equivalent atoms:
Ag 0.1747 0.4817 0.0723 (multiplicity 2)
H 0.0205 0.1409 0.3791 (multiplicity 2)
H 0.0477 0.3499 0.3723 (multiplicity 2)
H 0.0915 0.7226 0.3125 (multiplicity 2)
H 0.1133 0.8860 0.0425 (multiplicity 2)
H 0.2530 0.2091 0.3313 (multiplicity 2)
H 0.2614 0.5987 0.7564 (multiplicity 2)
H 0.2838 0.8063 0.7502 (multiplicity 2)
H 0.3081 0.9677 0.9477 (multiplicity 2)
H 0.3570 0.8702 0.0886 (multiplicity 2)
C 0.0942 0.2361 0.3306 (multiplicity 2)
C 0.2196 0.2596 0.7874 (multiplicity 2)
C 0.2223 0.7092 0.8043 (multiplicity 2)
C 0.2695 0.8717 0.0115 (multiplicity 2)
C 0.3371 0.1759 0.6760 (multiplicity 2)
C 0.3646 0.6570 0.3426 (multiplicity 2)
C 0.4630 0.2883 0.5948 (multiplicity 2)
S 0.0425 0.2441 0.1742 (multiplicity 2)
S 0.3395 0.6834 0.9422 (multiplicity 2)
O 0.0437 0.3156 0.7735 (multiplicity 2)
O 0.2032 0.7524 0.3629 (multiplicity 2)
O 0.3121 0.2662 0.8770 (multiplicity 2)
O 0.3915 0.5389 0.2815 (multiplicity 2)
F 0.2132 0.1149 0.6047 (multiplicity 2)
F 0.3378 0.4191 0.5655 (multiplicity 2)
F 0.4620 0.0495 0.7145 (multiplicity 2)
F 0.4694 0.7855 0.5104 (multiplicity 2)

Computed X-ray powder pattern
Compound: CuRu3
Radiation: Cu Kα X-rays
Structure: a structure optimized by DFT (GGA-PBE)
Neutral-atom scattering factors, no anomalous dispersion.

Most intense lines, 10 to 90 degrees two-theta, by angle:
hkl 1 1 2, 2θ 41.33, rel. 100.0
hkl 0 0 4, 2θ 46.25, rel. 17.9
hkl 2 0 0, 2θ 48.99, rel. 30.2
hkl 2 0 4, 2θ 69.66, rel. 20.2
hkl 2 2 0, 2θ 71.80, rel. 9.2
hkl 1 1 6, 2θ 82.31, rel. 12.7
hkl 3 1 2, 2θ 86.37, rel. 22.7
hkl 2 2 4, 2θ 89.78, rel. 10.5

Structure:
a b c (Å): 3.7187 3.7187 7.8510
angles (deg): 90.00 90.00 90.00
Space group I4/mmm (No. 139)
One atom of each set of equivalent atoms:
Cu 0.0000 0.0000 0.0000 (multiplicity 2)
Ru 0.0000 0.0000 0.5000 (multiplicity 2)
Ru 0.0000 0.5000 0.2500 (multiplicity 4)